[1]
Starting from a crystal structure in Alexandria, relaxed with PBE, the X-ray diffraction stick pattern of Y2BO4 was computed for Cu Kα.
Peak positions follow from Bragg's law for the DFT cell and can differ from measured ones.

```
data_Y2BO4
_symmetry_space_group_name_H-M 'I -4 2 m'
_symmetry_Int_Tables_number 121
_symmetry_space_group_name_Hall 'I -4 2'
_cell_length_a 5.512
_cell_length_b 5.512
_cell_length_c 6.760
_cell_angle_alpha 90.00
_cell_angle_beta 90.00
_cell_angle_gamma 90.00
loop_
_atom_site_label
_atom_site_type_symbol
_atom_site_fract_x
_atom_site_fract_y
_atom_site_fract_z
Y1 Y 0.000 0.500 0.250
B1 B 0.000 0.000 0.000
O1 O 0.159 0.159 0.126
```

Principal peaks in the range 10° ≤ 2θ ≤ 90°, sorted by position:
two_theta	intensity
22.82	93.6
26.37	42.5
32.49	42.5
35.15	100.0
42.32	46.6
52.50	34.1
54.34	26.9
59.67	58.2



[2]
Starting from a crystal structure in Alexandria, relaxed with PBE, the X-ray diffraction stick pattern of YZn2B2O6 was computed for Cu Kα.
Peak positions follow from Bragg's law for the DFT cell and can differ from measured ones.

```
data_YZn2B2O6
_symmetry_space_group_name_H-M 'P -3'
_symmetry_Int_Tables_number 147
_cell_length_a 5.0084
_cell_length_b 5.0084
_cell_length_c 7.0966
_cell_angle_alpha 90.00
_cell_angle_beta 90.00
_cell_angle_gamma 120.00
loop_
_symmetry_equiv_pos_as_xyz
'x,y,z'
'-x,-y,-z'
'-y,x-y,z'
'y,-x+y,-z'
'-x+y,-x,z'
'x-y,x,-z'
loop_
_atom_site_label
_atom_site_type_symbol
_atom_site_fract_x
_atom_site_fract_y
_atom_site_fract_z
Y1 Y 0.0000 0.0000 0.0000
Zn1 Zn 0.3333 0.6667 0.3084
B1 B 0.3333 0.6667 0.7970
O1 O 0.0581 0.6695 0.8019
```

Principal peaks in the range 10° ≤ 2θ ≤ 90°, sorted by position:
two_theta	intensity
12.47	28.5
24.05	100.0
32.60	88.2
35.86	40.6
43.64	35.6
53.27	33.8
57.71	27.5
62.40	19.6



[3]
Starting from a crystal structure in Alexandria, relaxed with PBE, the X-ray diffraction stick pattern of Zn4B2O7 was computed for Cu Kα.
Peak positions follow from Bragg's law for the DFT cell and can differ from measured ones.

```
data_Zn4B2O7
_symmetry_space_group_name_H-M 'C 1 2 1'
_symmetry_Int_Tables_number 5
_cell_length_a 14.343
_cell_length_b 8.341
_cell_length_c 9.930
_cell_angle_alpha 90.00
_cell_angle_beta 116.90
_cell_angle_gamma 90.00
loop_
_symmetry_equiv_pos_as_xyz
'x,y,z'
'-x,y,-z'
'x+1/2,y+1/2,z'
'-x+1/2,y+1/2,-z'
loop_
_atom_site_label
_atom_site_type_symbol
_atom_site_fract_x
_atom_site_fract_y
_atom_site_fract_z
Zn1 Zn 0.083 0.000 0.339
Zn2 Zn 0.083 0.536 0.858
Zn3 Zn 0.105 0.311 0.166
Zn4 Zn 0.125 0.717 0.160
Zn5 Zn 0.135 0.191 0.703
Zn6 Zn 0.144 0.838 0.671
B1 B 0.000 0.010 0.000
B2 B 0.000 0.603 0.500
B3 B 0.239 0.264 0.504
B4 B 0.240 0.278 0.003
O1 O 0.000 0.177 0.000
O2 O 0.055 0.008 0.671
O3 O 0.058 0.525 0.178
O4 O 0.059 0.928 0.133
O5 O 0.069 0.608 0.637
O6 O 0.157 0.209 0.372
O7 O 0.160 0.337 0.869
O8 O 0.176 0.843 0.498
O9 O 0.180 0.692 0.004
O10 O 0.235 0.304 0.137
O11 O 0.241 0.243 0.643
```

Principal peaks in the range 10° ≤ 2θ ≤ 90°, sorted by position:
two_theta	intensity
14.07	100.0
25.50	73.1
27.90	74.9
28.36	98.3
29.81	91.3
33.55	87.9
36.47	67.2
42.52	78.4